Record 1
Calculated X-ray diffraction stick pattern of YZn6O6 for copper Kα, from a DFT-relaxed cell (GGA-PBE, Alexandria).
Lines closer than 0.1° are merged.

The 10 most intense peaks (10 to 90 degrees two-theta), in order of rising 2θ:
two_theta  d [Å]  I (rel.)
15.28  5.800  25
21.67  4.101  23
30.83  2.900  45
34.58  2.594  100
38.00  2.368  99
54.83  1.674  27
57.27  1.609  27
59.65  1.550  49
64.24  1.450  25
75.05  1.266  21

Atomic structure:
```
YZn6O6
1.0
5.800 0.000 0.000
0.000 5.800 0.000
0.000 0.000 5.800
Y Zn O
1 6 6
direct
0.000 0.000 0.000
0.000 0.260 0.500
0.000 0.740 0.500
0.260 0.500 0.000
0.500 0.000 0.260
0.500 0.000 0.740
0.740 0.500 0.000
0.000 0.500 0.242
0.000 0.500 0.758
0.242 0.000 0.500
0.500 0.242 0.000
0.500 0.758 0.000
0.758 0.000 0.500
```

=====

Record 2
Calculated X-ray diffraction stick pattern of Y4Zr3O12 for copper Kα, from a DFT-relaxed cell (GGA-PBE, Alexandria).
Lines closer than 0.1° are merged.

The 10 most intense peaks (10 to 90 degrees two-theta), in order of rising 2θ:
two_theta  d [Å]  I (rel.)
29.10  3.069  31
29.40  3.038  100
33.79  2.652  11
34.00  2.637  11
34.18  2.623  11
48.47  1.878  11
49.02  1.858  11
49.15  1.854  11
57.98  1.591  11
58.26  1.584  11

Atomic structure:
```
Y4Zr3O12
1.0
6.432 0.000 0.000
-1.035 6.372 0.000
-1.084 -1.188 6.267
Y Zr O
4 3 12
direct
0.000 0.000 0.000
0.091 0.554 0.252
0.534 0.298 0.175
0.698 0.829 0.472
0.250 0.085 0.550
0.389 0.692 0.861
0.778 0.389 0.724
0.072 0.599 0.899
0.214 0.256 0.298
0.318 0.771 0.549
0.338 0.005 0.941
0.446 0.372 0.767
0.465 0.634 0.174
0.571 0.130 0.469
0.710 0.750 0.806
0.815 0.505 0.445
0.818 0.280 0.025
0.977 0.130 0.680
0.983 0.875 0.300
```